(1)
# Cs2VF6
Calculated powder diffraction line list, Cu Ka. Input: a structure optimized by DFT (GGA+U).

Peak list (10 most intense, 10 to 90 degrees two-theta, sorted by position)
d 3.938, 22.58°, I 23.2
d 3.706, 24.01°, I 42.0
d 3.478, 25.61°, I 100.0
d 3.148, 28.35°, I 23.4
d 2.701, 33.17°, I 19.4
d 2.648, 33.85°, I 15.1
d 2.399, 37.48°, I 44.8
d 2.389, 37.66°, I 23.0
d 2.093, 43.23°, I 20.9
d 1.875, 48.56°, I 14.6

Atomic structure:
```
Cs2VF6
1.0
3.1484 -7.5704 0.0000
3.1484 7.5704 0.0000
0.0000 0.0000 7.4120
Cs V F
4 2 12
direct
0.0489 0.9511 0.7500
0.2688 0.7312 0.2500
0.7312 0.2688 0.7500
0.9511 0.0489 0.2500
0.3848 0.6152 0.7500
0.6152 0.3848 0.2500
0.1634 0.4002 0.5706
0.1634 0.4002 0.9294
0.2609 0.7391 0.7500
0.4002 0.1634 0.0706
0.4002 0.1634 0.4294
0.4949 0.5051 0.2500
0.5051 0.4949 0.7500
0.5998 0.8366 0.5706
0.5998 0.8366 0.9294
0.7391 0.2609 0.2500
0.8366 0.5998 0.0706
0.8366 0.5998 0.4294
```



(2)
# Cs3VF6
Calculated powder diffraction line list, Cu Ka. Input: a structure optimized by DFT (GGA+U).

Peak list (10 most intense, 10 to 90 degrees two-theta, sorted by position)
d 3.415, 26.09°, I 100.0
d 2.912, 30.70°, I 5.8
d 2.788, 32.10°, I 7.6
d 2.415, 37.24°, I 32.7
d 1.972, 46.04°, I 37.9
d 1.707, 53.68°, I 19.8
d 1.527, 60.64°, I 21.5
d 1.394, 67.14°, I 6.1
d 1.291, 73.35°, I 22.7
d 1.138, 85.26°, I 10.6

Atomic structure:
```
Cs3VF6
1.0
0.0000 4.8293 4.8293
4.8293 0.0000 4.8293
4.8293 4.8293 0.0000
Cs V F
3 1 6
direct
0.0000 0.0000 0.0000
0.2500 0.2500 0.2500
0.7500 0.7500 0.7500
0.5000 0.5000 0.5000
0.2941 0.2941 0.7059
0.2941 0.7059 0.2941
0.2941 0.7059 0.7059
0.7059 0.2941 0.2941
0.7059 0.2941 0.7059
0.7059 0.7059 0.2941
```



(3)
# CsVZnF6
Calculated powder diffraction line list, Cu Ka. Input: a structure optimized by DFT (GGA+U).

Peak list (10 most intense, 10 to 90 degrees two-theta, sorted by position)
d 3.768, 23.61°, I 46.0
d 3.226, 27.65°, I 100.0
d 3.210, 27.79°, I 28.1
d 3.190, 27.97°, I 70.6
d 3.097, 28.83°, I 18.1
d 3.053, 29.25°, I 17.3
d 2.065, 43.85°, I 20.7
d 2.055, 44.06°, I 19.6
d 1.884, 48.31°, I 49.5
d 1.612, 57.13°, I 18.7

Atomic structure:
```
CsVZnF6
1.0
-3.7217 3.8025 5.3378
3.7217 -3.8025 5.3378
3.7217 3.8025 -5.3378
Cs V Zn F
2 2 2 12
direct
0.3735 0.1235 0.2500
0.6265 0.8765 0.7500
0.0000 0.5000 0.5000
0.5000 0.5000 0.0000
0.0000 0.0000 0.5000
0.0000 0.5000 0.0000
0.0697 0.4320 0.2599
0.0697 0.8098 0.6377
0.0701 0.8201 0.2500
0.3172 0.5672 0.7500
0.3279 0.1902 0.7599
0.3279 0.5680 0.1377
0.6721 0.4320 0.8623
0.6721 0.8098 0.2401
0.6828 0.4328 0.2500
0.9299 0.1799 0.7500
0.9303 0.1902 0.3623
0.9303 0.5680 0.7401
```



(4)
# CsFePH12O10
Calculated powder diffraction line list, Cu Ka. Input: a structure optimized by DFT (GGA+U).

Peak list (10 most intense, 10 to 90 degrees two-theta, sorted by position)
d 5.867, 15.10°, I 48.4
d 3.596, 24.76°, I 100.0
d 3.577, 24.89°, I 19.8
d 3.068, 29.11°, I 44.0
d 3.056, 29.23°, I 21.7
d 2.940, 30.41°, I 27.2
d 2.927, 30.54°, I 26.7
d 2.545, 35.27°, I 28.6
d 2.077, 43.57°, I 27.4
d 1.799, 50.74°, I 18.6

Atomic structure:
```
CsFePH12O10
1.0
5.0647 -5.0944 0.0000
5.0647 5.0944 0.0000
-5.0324 0.0000 5.0839
Cs Fe P H O
1 1 1 12 10
direct
0.0000 0.0000 0.0000
0.2517 0.7483 0.5000
0.4994 0.5006 0.0000
0.0991 0.1328 0.6165
0.1008 0.4835 0.9690
0.1012 0.4848 0.6159
0.5147 0.1334 0.0320
0.5150 0.1326 0.6164
0.5148 0.4836 0.3820
0.5152 0.8988 0.3841
0.5164 0.4852 0.6180
0.5165 0.8992 0.0310
0.8674 0.4850 0.3836
0.8666 0.4853 0.9680
0.8672 0.9009 0.3835
0.0371 0.5376 0.0768
0.0374 0.9626 0.5000
0.0381 0.5378 0.4980
0.2339 0.4124 0.8234
0.4616 0.5384 0.5000
0.4622 0.9619 0.5020
0.4624 0.9629 0.9232
0.5882 0.4116 0.1779
0.5884 0.4118 0.8221
0.5876 0.7661 0.1766
```